Record 1
Sr2Cd5Sn4: computed PXRD pattern (a wavelength of 1.5418 Å), based on a GGA-PBE-relaxed structure.

Main lines, sorted by position (2θ = 5–70°):
2θ (°), d/Å, I (rel.)
16.7, 5.315, 41.7
25.2, 3.538, 41.1
28.6, 3.121, 26.6
31.7, 2.819, 89.3
32.3, 2.773, 50.2
33.9, 2.648, 100.0
37.3, 2.411, 26.5
37.8, 2.382, 36.5
38.3, 2.352, 50.2
38.7, 2.325, 47.3
51.3, 1.782, 27.5
51.6, 1.771, 26.9

```
Sr2Cd5Sn4
1.0
0.000 5.453 9.300
3.221 0.000 9.300
3.221 5.453 0.000
Sr Cd Sn
2 5 4
Direct
0.126 0.126 0.874
0.874 0.874 0.126
0.000 0.000 0.500
0.250 0.250 0.250
0.500 0.500 0.000
0.500 0.500 0.500
0.750 0.750 0.750
0.222 0.504 0.496
0.496 0.778 0.222
0.504 0.222 0.778
0.778 0.496 0.504
```

***

Record 2
Sr4CdSn12: computed PXRD pattern (a wavelength of 1.5418 Å), based on a GGA-PBE-relaxed structure.

Main lines, sorted by position (2θ = 5–70°):
2θ (°), d/Å, I (rel.)
17.7, 5.016, 10.8
28.1, 3.172, 9.4
30.9, 2.896, 100.0
33.4, 2.681, 18.1
35.8, 2.508, 64.9
38.1, 2.365, 14.6
42.3, 2.139, 18.7
51.5, 1.773, 36.6
61.3, 1.512, 28.6
62.8, 1.479, 12.2
64.3, 1.448, 9.7
68.8, 1.365, 13.6

```
Sr4CdSn12
1.0
-5.016 5.016 5.016
5.016 -5.016 5.016
5.016 5.016 -5.016
Sr Cd Sn
4 1 12
Direct
0.000 0.000 0.500
0.000 0.500 0.000
0.500 0.000 0.000
0.500 0.500 0.500
0.000 0.000 0.000
0.000 0.304 0.304
0.000 0.696 0.696
0.250 0.500 0.750
0.250 0.750 0.500
0.304 0.000 0.304
0.304 0.304 0.000
0.500 0.250 0.750
0.500 0.750 0.250
0.696 0.000 0.696
0.696 0.696 0.000
0.750 0.250 0.500
0.750 0.500 0.250
```

***

Record 3
SrTlCdSn: computed PXRD pattern (a wavelength of 1.5418 Å), based on a GGA-PBE-relaxed structure.

Main lines, sorted by position (2θ = 5–70°):
2θ (°), d/Å, I (rel.)
19.7, 4.496, 6.4
22.8, 3.893, 4.8
32.5, 2.753, 100.0
38.3, 2.348, 3.9
40.1, 2.248, 1.5
46.7, 1.947, 18.4
51.1, 1.786, 1.9
52.6, 1.741, 2.0
58.0, 1.590, 38.4
61.9, 1.499, 1.5
68.1, 1.377, 11.9

```
SrTlCdSn
1.0
0.000 3.893 3.893
3.893 0.000 3.893
3.893 3.893 0.000
Sr Tl Cd Sn
1 1 1 1
Direct
0.000 0.000 0.000
0.750 0.750 0.750
0.250 0.250 0.250
0.500 0.500 0.500
```

***

Record 4
Tb3CdSn: computed PXRD pattern (a wavelength of 1.5418 Å), based on a GGA-PBE-relaxed structure.

Main lines, sorted by position (2θ = 5–70°):
2θ (°), d/Å, I (rel.)
16.0, 5.544, 83.6
18.0, 4.935, 55.4
24.1, 3.700, 42.1
30.3, 2.953, 42.4
31.1, 2.874, 70.9
32.0, 2.795, 74.4
32.3, 2.772, 59.3
36.2, 2.484, 100.0
39.9, 2.257, 32.8
44.6, 2.030, 34.0
46.1, 1.968, 43.8
65.4, 1.428, 24.7

```
Tb3CdSn
1.0
5.590 0.000 0.000
0.000 3.351 4.935
0.000 -3.351 4.935
Tb Cd Sn
3 1 1
Direct
0.000 0.000 0.000
0.500 0.435 0.902
0.500 0.902 0.435
0.500 0.924 0.924
0.000 0.623 0.623
```

***

Record 5
TbCd11Sn: computed PXRD pattern (a wavelength of 1.5418 Å), based on a GGA-PBE-relaxed structure.

Main lines, sorted by position (2θ = 5–70°):
2θ (°), d/Å, I (rel.)
27.7, 3.216, 35.1
30.6, 2.919, 42.3
30.7, 2.908, 39.1
33.3, 2.694, 84.5
33.4, 2.683, 69.8
35.7, 2.516, 86.1
35.9, 2.498, 43.3
36.1, 2.488, 37.9
36.7, 2.451, 100.0
38.1, 2.362, 86.5
38.4, 2.344, 35.8
63.8, 1.459, 27.8

```
TbCd11Sn
1.0
3.216 -6.973 0.000
3.216 6.973 0.000
-3.174 0.000 6.892
Tb Cd Sn
1 11 1
Direct
0.000 0.000 0.000
0.000 0.500 0.000
0.005 0.356 0.347
0.300 0.517 0.788
0.356 0.005 0.347
0.483 0.700 0.212
0.500 0.000 0.000
0.500 0.500 0.500
0.517 0.300 0.788
0.644 0.995 0.653
0.700 0.483 0.212
0.995 0.644 0.653
0.000 0.000 0.500
```

***

Record 6
CdSn2Te3: computed PXRD pattern (a wavelength of 1.5418 Å), based on a GGA-PBE-relaxed structure.

Main lines, sorted by position (2θ = 5–70°):
2θ (°), d/Å, I (rel.)
28.3, 3.151, 100.0
40.5, 2.228, 76.5
50.2, 1.819, 27.4
58.6, 1.576, 8.6
58.7, 1.573, 4.2
66.3, 1.410, 23.7
66.4, 1.408, 11.7

```
CdSn2Te3
1.0
-2.229 2.229 9.440
2.229 -2.229 9.440
2.229 2.229 -9.440
Cd Sn Te
1 2 3
Direct
0.000 0.000 0.000
0.334 0.334 0.000
0.666 0.666 0.000
0.165 0.165 0.000
0.500 0.500 0.000
0.835 0.835 0.000
```

***

Record 7
CdSn2Te4: computed PXRD pattern (a wavelength of 1.5418 Å), based on a GGA-PBE-relaxed structure.

Main lines, sorted by position (2θ = 5–70°):
2θ (°), d/Å, I (rel.)
24.8, 3.593, 24.6
25.7, 3.463, 100.0
26.1, 3.409, 29.9
27.5, 3.239, 74.7
29.6, 3.021, 52.5
33.3, 2.688, 50.1
35.4, 2.539, 28.7
36.1, 2.486, 45.1
36.2, 2.483, 38.9
40.2, 2.246, 47.0
42.8, 2.114, 57.2
50.6, 1.802, 23.8

```
CdSn2Te4
1.0
4.492 0.000 0.000
0.006 7.267 0.000
2.238 2.582 7.011
Cd Sn Te
1 2 4
Direct
0.000 0.000 0.000
0.277 0.300 0.440
0.723 0.700 0.560
0.091 0.460 0.823
0.364 0.993 0.272
0.636 0.007 0.728
0.909 0.540 0.177
```

***

Record 8
CdSn4Te5: computed PXRD pattern (a wavelength of 1.5418 Å), based on a GGA-PBE-relaxed structure.

Main lines, sorted by position (2θ = 5–70°):
2θ (°), d/Å, I (rel.)
24.3, 3.663, 0.6
28.0, 3.184, 50.3
28.2, 3.167, 100.0
40.2, 2.245, 76.9
40.3, 2.239, 38.2
49.8, 1.832, 41.1
57.9, 1.592, 6.5
58.3, 1.583, 12.8
65.6, 1.422, 17.7
65.9, 1.417, 35.3

```
CdSn4Te5
1.0
-5.007 5.007 3.184
5.007 -5.007 3.184
5.007 5.007 -3.184
Cd Sn Te
1 4 5
Direct
0.000 0.000 0.000
0.179 0.578 0.801
0.379 0.179 0.602
0.578 0.777 0.398
0.777 0.379 0.199
0.067 0.264 0.390
0.264 0.874 0.196
0.479 0.479 0.000
0.677 0.067 0.804
0.874 0.677 0.610
```

***

Record 9
ThCdSn3: computed PXRD pattern (a wavelength of 1.5418 Å), based on a GGA-PBE-relaxed structure.

Main lines, sorted by position (2θ = 5–70°):
2θ (°), d/Å, I (rel.)
20.8, 4.274, 26.2
30.9, 2.890, 56.3
31.2, 2.870, 98.0
33.3, 2.691, 100.0
34.1, 2.630, 32.5
34.4, 2.605, 66.9
34.6, 2.590, 61.4
37.3, 2.410, 24.9
40.0, 2.254, 54.7
53.0, 1.727, 38.0
58.1, 1.588, 23.2
66.9, 1.398, 23.0

```
ThCdSn3
1.0
13.444 0.000 0.000
0.000 6.347 0.000
0.000 0.000 6.402
Th Cd Sn
4 4 12
Direct
0.187 0.005 0.250
0.187 0.495 0.750
0.813 0.505 0.250
0.813 0.995 0.750
0.388 0.250 0.000
0.388 0.250 0.500
0.612 0.750 0.000
0.612 0.750 0.500
0.001 0.250 0.000
0.001 0.250 0.500
0.231 0.509 0.250
0.231 0.991 0.750
0.420 0.696 0.750
0.420 0.804 0.250
0.580 0.196 0.750
0.580 0.304 0.250
0.769 0.009 0.250
0.769 0.491 0.750
0.999 0.750 0.000
0.999 0.750 0.500
```

***

Record 10
Th2Cd3Sn: computed PXRD pattern (a wavelength of 1.5418 Å), based on a GGA-PBE-relaxed structure.

Main lines, sorted by position (2θ = 5–70°):
2θ (°), d/Å, I (rel.)
20.5, 4.339, 14.2
32.1, 2.790, 100.0
35.8, 2.505, 67.2
41.6, 2.170, 2.5
48.9, 1.864, 31.2
50.1, 1.821, 8.7
54.7, 1.679, 2.4
56.1, 1.640, 2.3
62.1, 1.495, 30.6
63.1, 1.473, 25.9
64.4, 1.446, 12.2
67.1, 1.395, 1.3

```
Th2Cd3Sn
1.0
0.000 5.015 8.671
3.642 0.000 8.671
3.642 5.015 0.000
Th Cd Sn
4 6 2
Direct
0.247 0.753 0.753
0.250 0.250 0.250
0.750 0.750 0.750
0.753 0.247 0.247
0.171 0.664 0.336
0.336 0.336 0.664
0.336 0.829 0.171
0.664 0.171 0.829
0.664 0.664 0.336
0.829 0.336 0.664
0.167 0.167 0.833
0.833 0.833 0.167
```

***

Record 11
Ti12CdSn3: computed PXRD pattern (a wavelength of 1.5418 Å), based on a GGA-PBE-relaxed structure.

Main lines, sorted by position (2θ = 5–70°):
2θ (°), d/Å, I (rel.)
24.1, 3.699, 39.6
34.3, 2.616, 45.3
38.5, 2.340, 41.4
42.3, 2.136, 100.0
49.3, 1.850, 6.6
55.5, 1.654, 9.4
64.2, 1.451, 7.9
66.9, 1.398, 50.2

```
Ti12CdSn3
1.0
5.231 0.000 0.000
0.000 5.235 0.000
0.000 0.000 10.457
Ti Cd Sn
12 1 3
Direct
0.000 0.000 0.122
0.000 0.000 0.373
0.000 0.000 0.627
0.000 0.000 0.878
0.250 0.500 0.500
0.252 0.500 0.000
0.500 0.249 0.250
0.500 0.249 0.750
0.500 0.751 0.250
0.500 0.751 0.750
0.748 0.500 0.000
0.750 0.500 0.500
0.500 0.000 0.000
0.000 0.500 0.251
0.000 0.500 0.749
0.500 0.000 0.500
```

***

Record 12
Tl6Cd3Sn: computed PXRD pattern (a wavelength of 1.5418 Å), based on a GGA-PBE-relaxed structure.

Main lines, sorted by position (2θ = 5–70°):
2θ (°), d/Å, I (rel.)
26.5, 3.360, 16.3
29.6, 3.019, 100.0
32.0, 2.801, 52.0
35.0, 2.563, 83.0
42.7, 2.117, 14.0
44.1, 2.054, 21.4
48.7, 1.868, 20.1
51.9, 1.761, 19.6
59.5, 1.554, 12.5
60.6, 1.528, 21.1
62.3, 1.491, 15.9
63.9, 1.458, 15.2

```
Tl6Cd3Sn
1.0
6.472 0.000 0.000
-3.236 5.605 0.000
0.000 0.000 8.395
Tl Cd Sn
6 3 1
Direct
0.000 0.398 0.300
0.000 0.602 0.700
0.398 0.000 0.300
0.398 0.398 0.700
0.602 0.000 0.700
0.602 0.602 0.300
0.000 0.000 0.000
0.333 0.667 0.000
0.667 0.333 0.000
0.000 0.000 0.500
```

***

Record 13
TlCd4Sn: computed PXRD pattern (a wavelength of 1.5418 Å), based on a GGA-PBE-relaxed structure.

Main lines, sorted by position (2θ = 5–70°):
2θ (°), d/Å, I (rel.)
27.5, 3.249, 28.2
30.0, 2.983, 76.9
32.0, 2.797, 19.2
35.7, 2.512, 27.5
36.5, 2.461, 100.0
38.2, 2.359, 36.2
40.3, 2.240, 29.9
53.3, 1.720, 18.1
54.9, 1.672, 15.0
56.7, 1.624, 21.6
67.9, 1.381, 15.8
68.8, 1.364, 15.0

```
TlCd4Sn
1.0
8.960 0.000 0.000
0.000 4.717 0.000
0.000 0.000 7.537
Tl Cd Sn
2 8 2
Direct
0.250 0.000 0.167
0.750 0.000 0.833
0.000 0.000 0.500
0.014 0.500 0.808
0.250 0.500 0.469
0.486 0.500 0.808
0.500 0.000 0.500
0.514 0.500 0.192
0.750 0.500 0.531
0.986 0.500 0.192
0.250 0.000 0.754
0.750 0.000 0.246
```

***

Record 14
TlCdSn4: computed PXRD pattern (a wavelength of 1.5418 Å), based on a GGA-PBE-relaxed structure.

Main lines, sorted by position (2θ = 5–70°):
2θ (°), d/Å, I (rel.)
21.5, 4.129, 16.5
31.4, 2.846, 48.4
32.2, 2.779, 98.1
33.1, 2.705, 100.0
35.3, 2.542, 42.3
45.7, 1.983, 20.1
48.0, 1.896, 32.8
57.6, 1.599, 16.2
57.7, 1.597, 14.8
59.1, 1.564, 18.9
62.0, 1.497, 17.0
62.8, 1.480, 19.3

```
TlCdSn4
1.0
4.351 -4.791 0.000
4.351 4.791 0.000
-2.962 0.000 4.133
Tl Cd Sn
1 1 4
Direct
0.000 0.000 0.000
0.500 0.500 0.500
0.122 0.449 0.785
0.449 0.122 0.785
0.551 0.878 0.215
0.878 0.551 0.215
```